(1)
This entry pairs a crystal structure of LiSn3SbP6O24 with its calculated powder XRD pattern. Radiation: Cu Ka. Structure: a cell relaxed with PBE.
Peak positions follow from Bragg's law for the DFT cell and can differ from measured ones.

Largest 12 diffraction maxima, in order of rising 2θ, 2θ = 10–80°:
d_spacing	two_theta	I/Imax
6.207	14.27	15
4.391	20.22	100
4.377	20.29	17
3.743	23.77	21
3.737	23.81	10
3.103	28.77	36
2.780	32.20	24
2.532	35.46	36
2.527	35.53	11
1.962	46.28	13
1.658	55.43	12
1.655	55.52	17

Cell and atoms:
abc: 8.7535 8.7560 8.7842
angles: 90.10 119.78 119.88
Space group P1 (No. 1)
Symmetry-distinct sites (fractional):
Li  0.0000  0.0000  0.0000 [1 per cell]
Sn  0.2990  0.1452  0.4245 [1 per cell]
Sn  0.7242  0.8552  0.5706 [1 per cell]
Sn  0.7278  0.3585  0.0795 [1 per cell]
Sb  0.2907  0.6405  0.9163 [1 per cell]
P  0.2184  0.4565  0.2441 [1 per cell]
P  0.2219  0.2510  0.7560 [1 per cell]
P  0.5044  0.0370  0.2447 [1 per cell]
P  0.5096  0.9567  0.7495 [1 per cell]
P  0.8002  0.5394  0.7436 [1 per cell]
P  0.8036  0.7565  0.2436 [1 per cell]
O  0.0310  0.4269  0.2434 [1 per cell]
O  0.0388  0.0824  0.7570 [1 per cell]
O  0.1889  0.4113  0.7492 [1 per cell]
O  0.2024  0.5024  0.0676 [1 per cell]
O  0.2058  0.2730  0.2293 [1 per cell]
O  0.2160  0.2111  0.5822 [1 per cell]
O  0.3193  0.0360  0.2297 [1 per cell]
O  0.3444  0.7633  0.7435 [1 per cell]
O  0.3773  0.9825  0.5679 [1 per cell]
O  0.3883  0.8793  0.0652 [1 per cell]
O  0.4252  0.6129  0.4251 [1 per cell]
O  0.4296  0.3064  0.9380 [1 per cell]
O  0.5834  0.6959  0.0650 [1 per cell]
O  0.6018  0.3862  0.5550 [1 per cell]
O  0.6219  0.1106  0.9240 [1 per cell]
O  0.6289  0.0040  0.4231 [1 per cell]
O  0.6680  0.2247  0.2512 [1 per cell]
O  0.6882  0.9475  0.7615 [1 per cell]
O  0.7980  0.4846  0.9070 [1 per cell]
O  0.8214  0.7268  0.7585 [1 per cell]
O  0.8221  0.8028  0.4227 [1 per cell]
O  0.8380  0.6021  0.2431 [1 per cell]
O  0.9730  0.9305  0.2322 [1 per cell]
O  0.9953  0.5721  0.7496 [1 per cell]

---

(2)
This entry pairs a crystal structure of TmScZn2 with its calculated powder XRD pattern. Radiation: Cu Ka. Structure: a cell relaxed with PBE.
Peak positions follow from Bragg's law for the DFT cell and can differ from measured ones.

Largest 11 diffraction maxima, in order of rising 2θ, 2θ = 10–80°:
d_spacing	two_theta	I/Imax
3.978	22.35	28
3.445	25.86	5
2.436	36.90	100
2.077	43.57	15
1.989	45.61	1
1.722	53.18	17
1.581	58.38	7
1.541	60.05	2
1.406	66.48	34
1.326	71.10	5
1.218	78.54	10

Cell and atoms:
abc: 6.8899 6.8899 6.8899
angles: 90.00 90.00 90.00
Space group Fm-3m (No. 225)
Symmetry-distinct sites (fractional):
Tm  0.0000  0.0000  0.0000 [4 per cell]
Sc  0.0000  0.0000  0.5000 [4 per cell]
Zn  0.2500  0.2500  0.2500 [8 per cell]

---

(3)
This entry pairs a crystal structure of Dy5Ni2Sb with its calculated powder XRD pattern. Radiation: Cu Ka. Structure: a cell relaxed with PBE.
Peak positions follow from Bragg's law for the DFT cell and can differ from measured ones.

Largest 12 diffraction maxima, in order of rising 2θ, 2θ = 10–80°:
d_spacing	two_theta	I/Imax
3.302	27.00	33
2.844	31.46	36
2.708	33.07	100
2.693	33.26	13
2.515	35.70	40
2.409	37.33	67
2.106	42.95	15
1.668	55.04	13
1.656	55.51	15
1.582	58.31	24
1.375	68.21	19
1.349	69.73	15

Cell and atoms:
abc: 7.6180 7.6180 13.3949
angles: 90.00 90.00 90.00
Space group I4/mcm (No. 140)
Symmetry-distinct sites (fractional):
Dy  0.0000  0.0000  0.0000 [4 per cell]
Dy  0.1566  0.3434  0.1371 [16 per cell]
Ni  0.1314  0.3686  0.5000 [8 per cell]
Sb  0.0000  0.0000  0.2500 [4 per cell]